Diffraction record for CsCaBeS2. The powder XRD pattern is theoretical, not measured: it uses a structure optimized by DFT (PBE) and Cu Kα, 1.54184 Å.
Intensities are scaled so that the largest is 100.

Crystal structure
a b c (Å): 7.8740 5.1158 7.8420
angles (deg): 90.00 104.64 90.00
Atoms (fractional coordinates):
Cs  0.0000  0.2383  0.2500
Cs  0.0000  0.7617  0.7500
Ca  0.5000  0.4863  0.7500
Ca  0.5000  0.5137  0.2500
Be  0.5000  0.0000  0.0000
Be  0.5000  0.0000  0.5000
S  0.3032  0.2442  0.9548
S  0.3032  0.7558  0.4548
S  0.6968  0.2442  0.5452
S  0.6968  0.7558  0.0452

Most intense lines, 2θ from 15° to 90°, sorted by position:
d (Å), I/Imax
4.242, 52
3.802, 74
3.502, 100
3.110, 32
3.056, 67
2.425, 22
2.402, 23
2.322, 19
2.267, 22
2.122, 29


Diffraction record for Ca2Be3Cu17. The powder XRD pattern is theoretical, not measured: it uses a structure optimized by DFT (PBE) and Cu Kα, 1.54184 Å.
Intensities are scaled so that the largest is 100.

Crystal structure
a b c (Å): 6.7430 6.7430 6.7430
angles (deg): 84.13 84.13 84.13
Atoms (fractional coordinates):
Ca  0.1614  0.1614  0.1614
Ca  0.8386  0.8386  0.8386
Be  0.0000  0.0000  0.5000
Be  0.0000  0.5000  0.0000
Be  0.5000  0.0000  0.0000
Cu  0.0000  0.5000  0.5000
Cu  0.1669  0.1669  0.6634
Cu  0.1669  0.6634  0.1669
Cu  0.2306  0.5000  0.7694
Cu  0.2306  0.7694  0.5000
Cu  0.3366  0.8331  0.8331
Cu  0.4036  0.4036  0.4036
Cu  0.5000  0.0000  0.5000
Cu  0.5000  0.2306  0.7694
Cu  0.5000  0.5000  0.0000
Cu  0.5000  0.7694  0.2306
Cu  0.5964  0.5964  0.5964
Cu  0.6634  0.1669  0.1669
Cu  0.7694  0.2306  0.5000
Cu  0.7694  0.5000  0.2306
Cu  0.8331  0.3366  0.8331
Cu  0.8331  0.8331  0.3366

Most intense lines, 2θ from 15° to 90°, sorted by position:
d (Å), I/Imax
4.517, 23
2.259, 76
2.226, 68
2.142, 23
2.136, 43
1.997, 100
1.935, 34
1.931, 32
1.552, 17
1.129, 19


Diffraction record for CaBeCu2. The powder XRD pattern is theoretical, not measured: it uses a structure optimized by DFT (PBE) and Cu Kα, 1.54184 Å.
Intensities are scaled so that the largest is 100.

Crystal structure
a b c (Å): 3.9927 3.9990 5.5399
angles (deg): 110.86 90.29 119.76
Atoms (fractional coordinates):
Ca  0.0000  0.0000  0.0000
Be  0.1868  0.3785  0.5652
Cu  0.5183  0.0413  0.5596
Cu  0.8096  0.6237  0.4304

Most intense lines, 2θ from 15° to 90°, sorted by position:
d (Å), I/Imax
5.045, 100
3.377, 62
3.157, 29
2.557, 91
2.551, 46
2.523, 42
2.005, 36
1.998, 71
1.863, 21
1.568, 27


Diffraction record for Ca2Be2CuPd5. The powder XRD pattern is theoretical, not measured: it uses a structure optimized by DFT (PBE) and Cu Kα, 1.54184 Å.
Intensities are scaled so that the largest is 100.

Crystal structure
a b c (Å): 9.6968 9.6968 3.3411
angles (deg): 90.00 90.00 90.00
Atoms (fractional coordinates):
Ca  0.1776  0.3224  0.0000
Ca  0.3224  0.8224  0.0000
Ca  0.6776  0.1776  0.0000
Ca  0.8224  0.6776  0.0000
Be  0.1213  0.6213  0.0000
Be  0.3787  0.1213  0.0000
Be  0.6213  0.8787  0.0000
Be  0.8787  0.3787  0.0000
Cu  0.0000  0.0000  0.0000
Cu  0.5000  0.5000  0.0000
Pd  0.0000  0.5000  0.5000
Pd  0.0664  0.7877  0.5000
Pd  0.2123  0.0664  0.5000
Pd  0.2877  0.5664  0.5000
Pd  0.4336  0.2877  0.5000
Pd  0.5000  0.0000  0.5000
Pd  0.5664  0.7123  0.5000
Pd  0.7123  0.4336  0.5000
Pd  0.7877  0.9336  0.5000
Pd  0.9336  0.2123  0.5000

Most intense lines, 2θ from 15° to 90°, sorted by position:
d (Å), I/Imax
3.341, 47
2.689, 28
2.647, 40
2.393, 34
2.352, 64
2.259, 100
2.168, 34
2.095, 41
1.923, 24
1.269, 30


Diffraction record for Ca2EuBeO5. The powder XRD pattern is theoretical, not measured: it uses a structure optimized by DFT (PBE) and Cu Kα, 1.54184 Å.
Intensities are scaled so that the largest is 100.

Crystal structure
a b c (Å): 9.3181 7.0924 6.4982
angles (deg): 90.00 90.00 90.00
Atoms (fractional coordinates):
Ca  0.1728  0.0233  0.0890
Ca  0.1728  0.4767  0.0890
Ca  0.3272  0.5233  0.5890
Ca  0.3272  0.9767  0.5890
Ca  0.6728  0.0233  0.4110
Ca  0.6728  0.4767  0.4110
Ca  0.8272  0.5233  0.9110
Ca  0.8272  0.9767  0.9110
Eu  0.0226  0.2500  0.5887
Eu  0.4774  0.7500  0.0887
Eu  0.5226  0.2500  0.9113
Eu  0.9774  0.7500  0.4113
Be  0.1033  0.7500  0.8158
Be  0.3967  0.2500  0.3158
Be  0.6033  0.7500  0.6842
Be  0.8967  0.2500  0.1842
O  0.0066  0.7500  0.0241
O  0.0698  0.5589  0.6883
O  0.0698  0.9411  0.6883
O  0.2182  0.7500  0.3369
O  0.2242  0.2500  0.3742
O  0.2758  0.7500  0.8742
O  0.2818  0.2500  0.8369
O  0.4302  0.0589  0.1883
O  0.4302  0.4411  0.1883
O  0.4934  0.2500  0.5241
O  0.5066  0.7500  0.4759
O  0.5698  0.5589  0.8117
O  0.5698  0.9411  0.8117
O  0.7182  0.7500  0.1631
O  0.7242  0.2500  0.1258
O  0.7758  0.7500  0.6258
O  0.7818  0.2500  0.6631
O  0.9302  0.0589  0.3117
O  0.9302  0.4411  0.3117
O  0.9934  0.2500  0.9759

Most intense lines, 2θ from 15° to 90°, sorted by position:
d (Å), I/Imax
5.330, 59
4.791, 21
4.659, 31
3.340, 27
2.952, 69
2.818, 100
2.802, 44
2.130, 20
1.947, 21
1.893, 32


Diffraction record for K2CaBeF6. The powder XRD pattern is theoretical, not measured: it uses a structure optimized by DFT (PBE) and Cu Kα, 1.54184 Å.
Intensities are scaled so that the largest is 100.

Crystal structure
a b c (Å): 5.9039 5.9039 5.5902
angles (deg): 90.00 90.00 120.00
Atoms (fractional coordinates):
K  0.3333  0.6667  0.1231
K  0.6667  0.3333  0.8769
Ca  0.0000  0.0000  0.5000
Be  0.0000  0.0000  0.0000
F  0.1423  0.2846  0.8070
F  0.1423  0.8577  0.8070
F  0.2846  0.1423  0.1930
F  0.7154  0.8577  0.8070
F  0.8577  0.1423  0.1930
F  0.8577  0.7154  0.1930

Most intense lines, 2θ from 15° to 90°, sorted by position:
d (Å), I/Imax
5.590, 31
5.113, 44
3.773, 51
2.952, 39
2.453, 15
2.325, 100
2.030, 13
1.886, 46
1.826, 18
1.476, 17


Diffraction record for LiCaBeF5. The powder XRD pattern is theoretical, not measured: it uses a structure optimized by DFT (PBE) and Cu Kα, 1.54184 Å.
Intensities are scaled so that the largest is 100.

Crystal structure
a b c (Å): 5.4811 5.4811 6.6422
angles (deg): 101.13 101.13 106.20
Atoms (fractional coordinates):
Li  0.0000  0.0000  0.0000
Li  0.0000  0.0000  0.5000
Ca  0.3380  0.6620  0.7500
Ca  0.6620  0.3380  0.2500
Be  0.3147  0.6853  0.2500
Be  0.6853  0.3147  0.7500
F  0.0854  0.6574  0.3603
F  0.0895  0.9105  0.7500
F  0.2782  0.4319  0.0729
F  0.3426  0.9146  0.1397
F  0.4319  0.2782  0.5729
F  0.5681  0.7218  0.4271
F  0.6574  0.0854  0.8603
F  0.7218  0.5681  0.9271
F  0.9105  0.0895  0.2500
F  0.9146  0.3426  0.6397

Most intense lines, 2θ from 15° to 90°, sorted by position:
d (Å), I/Imax
5.079, 45
4.582, 37
3.145, 42
3.116, 72
2.687, 45
2.328, 83
2.166, 41
2.146, 100
2.128, 74
2.070, 72


Diffraction record for Ca2Be2P2O9F. The powder XRD pattern is theoretical, not measured: it uses a structure optimized by DFT (PBE) and Cu Kα, 1.54184 Å.
Intensities are scaled so that the largest is 100.

Crystal structure
a b c (Å): 4.8729 7.7613 9.7932
angles (deg): 90.00 90.36 90.00
Atoms (fractional coordinates):
Ca  0.0000  0.1332  0.0000
Ca  0.0000  0.8668  0.5000
Ca  0.0048  0.3628  0.3390
Ca  0.0048  0.6372  0.8390
Be  0.4613  0.3365  0.8349
Be  0.4613  0.6635  0.3349
Be  0.5398  0.1629  0.5063
Be  0.5398  0.8371  0.0063
P  0.4711  0.0199  0.2502
P  0.4711  0.9801  0.7502
P  0.5288  0.4826  0.0876
P  0.5288  0.5174  0.5876
O  0.2440  0.1463  0.2095
O  0.2440  0.8537  0.7095
O  0.3248  0.4077  0.9785
O  0.3248  0.5923  0.4785
O  0.3389  0.1435  0.8158
O  0.3389  0.8565  0.3158
O  0.3581  0.4689  0.7153
O  0.3581  0.5311  0.2153
O  0.6448  0.0316  0.6240
O  0.6448  0.9684  0.1240
O  0.6623  0.3533  0.5252
O  0.6623  0.6467  0.0252
O  0.6730  0.0967  0.3602
O  0.6730  0.9033  0.8602
O  0.7581  0.3544  0.1246
O  0.7581  0.6456  0.6246
O  0.7900  0.3465  0.8584
O  0.7900  0.6535  0.3584
F  0.2160  0.1601  0.4953
F  0.2160  0.8399  0.9953

Most intense lines, 2θ from 15° to 90°, sorted by position:
d (Å), I/Imax
3.802, 41
3.443, 56
3.164, 100
3.147, 85
3.037, 88
2.900, 94
2.286, 48
2.227, 42
2.219, 30
1.803, 40